No. 1
For SiTcMo, a GGA-PBE-relaxed structure gives the calculated XRD peak list in this record (copper Kα).
Peak positions follow from Bragg's law for the DFT cell and can differ from measured ones.

The 10 most intense peaks (10 to 90 degrees two-theta), sorted by position:
- 29.0 deg, intensity 371, hkl 1 1 1
- 36.7 deg, intensity 199, hkl 0 2 0
- 39.1 deg, intensity 459, hkl 2 0 0
- 39.7 deg, intensity 176, hkl 0 1 3
- 41.8 deg, intensity 488, hkl 1 2 0
- 44.5 deg, intensity 1000, hkl 1 1 3
- 54.7 deg, intensity 120, hkl 2 2 0
- 68.0 deg, intensity 165, hkl 0 3 3
- 74.6 deg, intensity 209, hkl 3 1 3
- 81.4 deg, intensity 202, hkl 2 3 3

Structural model:
Lattice parameters (Å, degrees): 4.6024 4.9015 7.6933 90.00 90.00 90.00
Space group Ama2 (No. 40)
One atom of each set of equivalent atoms:
1 Si 0.2500 0.1801 0.0000
2 Tc 0.2500 0.1765 0.6579
3 Mo 0.2500 0.1745 0.3357

---

No. 2
For Ba2Hg10Pb, a GGA-PBE-relaxed structure gives the calculated XRD peak list in this record (copper Kα).
Peak positions follow from Bragg's law for the DFT cell and can differ from measured ones.

The 10 most intense peaks (10 to 90 degrees two-theta), sorted by position:
- 14.4 deg, intensity 1000, hkl 0 0 1
- 31.5 deg, intensity 497, hkl 1 4 1
- 31.8 deg, intensity 376, hkl 3 2 1
- 32.0 deg, intensity 513, hkl 3 3 0
- 34.0 deg, intensity 262, hkl 4 1 0
- 34.2 deg, intensity 535, hkl 2 1 2
- 34.5 deg, intensity 410, hkl 1 5 0
- 35.9 deg, intensity 340, hkl 4 2 0
- 37.5 deg, intensity 308, hkl 1 5 1
- 40.9 deg, intensity 247, hkl 3 2 2

Structural model:
Lattice parameters (Å, degrees): 10.7699 13.4080 6.1596 90.00 90.00 90.00
Space group Pbam (No. 55)
One atom of each set of equivalent atoms:
1 Ba 0.2020 0.0797 0.0000
2 Hg 0.0586 0.6182 0.5000
3 Hg 0.1101 0.8049 0.2305
4 Hg 0.1512 0.2137 0.5000
5 Hg 0.2093 0.4376 0.5000
6 Pb 0.0000 0.0000 0.5000

---

No. 3
For BaAl12Ir6, a GGA-PBE-relaxed structure gives the calculated XRD peak list in this record (copper Kα).
Peak positions follow from Bragg's law for the DFT cell and can differ from measured ones.

The 10 most intense peaks (10 to 90 degrees two-theta), sorted by position:
- 22.5 deg, intensity 245, hkl 0 1 2
- 25.7 deg, intensity 1000, hkl 2 1 1
- 27.3 deg, intensity 579, hkl 2 0 2
- 31.0 deg, intensity 439, hkl 2 2 0
- 31.5 deg, intensity 398, hkl 1 2 2
- 40.7 deg, intensity 464, hkl 3 2 1
- 41.5 deg, intensity 443, hkl 0 3 3
- 45.9 deg, intensity 382, hkl 0 2 4
- 46.6 deg, intensity 300, hkl 0 5 1
- 66.8 deg, intensity 257, hkl 5 2 3

Structural model:
Lattice parameters (Å, degrees): 11.5565 11.5565 8.6179 90.00 90.00 120.00
Space group R-3m (No. 166, hexagonal axes)
One atom of each set of equivalent atoms:
1 Ba 0.0000 0.0000 0.0000
2 Al 0.0000 0.3796 0.5000
3 Al 0.0951 0.1903 0.3230
4 Ir 0.0603 0.5302 0.2628

---

> What is the formula in the third record?

BaAl12Ir6

---

Please write out number 1 again, unchanged.
For SiTcMo, a GGA-PBE-relaxed structure gives the calculated XRD peak list in this record (copper Kα).
Peak positions follow from Bragg's law for the DFT cell and can differ from measured ones.

The 10 most intense peaks (10 to 90 degrees two-theta), sorted by position:
- 29.0 deg, intensity 371, hkl 1 1 1
- 36.7 deg, intensity 199, hkl 0 2 0
- 39.1 deg, intensity 459, hkl 2 0 0
- 39.7 deg, intensity 176, hkl 0 1 3
- 41.8 deg, intensity 488, hkl 1 2 0
- 44.5 deg, intensity 1000, hkl 1 1 3
- 54.7 deg, intensity 120, hkl 2 2 0
- 68.0 deg, intensity 165, hkl 0 3 3
- 74.6 deg, intensity 209, hkl 3 1 3
- 81.4 deg, intensity 202, hkl 2 3 3

Structural model:
Lattice parameters (Å, degrees): 4.6024 4.9015 7.6933 90.00 90.00 90.00
Space group Ama2 (No. 40)
One atom of each set of equivalent atoms:
1 Si 0.2500 0.1801 0.0000
2 Tc 0.2500 0.1765 0.6579
3 Mo 0.2500 0.1745 0.3357